# 1
Theoretical X-ray diffraction stick pattern of LaNd4Dy2Sc for Cu Kα X-rays, from a structure optimized by DFT (PBE).

Atomic structure:
a = 5.082 Å, b = 5.102 Å, c = 10.187 Å
α = 90.00°, β = 90.04°, γ = 90.00°
Sites, in units of the cell vectors:
La 0.000 0.000 0.000
Nd 0.000 0.500 0.249
Nd 0.000 0.500 0.751
Nd 0.500 0.000 0.250
Nd 0.500 0.000 0.750
Dy 0.000 0.000 0.500
Dy 0.500 0.500 0.500
Sc 0.500 0.500 0.000

Largest 10 diffraction maxima, in order of falling intensity, 10 to 90 degrees two-theta:
Position (°2θ)  d [Å]  I/Imax
30.4  2.940  100
35.2  2.549  34
50.7  1.801  30
60.2  1.537  21
35.3  2.541  17
60.3  1.534  14
63.3  1.470  12
82.5  1.169  9
82.6  1.168  9
60.4  1.533  7

=====

# 2
Theoretical X-ray diffraction stick pattern of Li2PdPbAu for Cu Kα X-rays, from a structure optimized by DFT (PBE).

Atomic structure:
a = 5.470 Å, b = 6.827 Å, c = 5.030 Å
α = 90.00°, β = 90.00°, γ = 90.00°
Sites, in units of the cell vectors:
Li 0.250 0.214 0.190
Li 0.250 0.786 0.190
Li 0.750 0.214 0.810
Li 0.750 0.786 0.810
Pd 0.000 0.500 0.000
Pd 0.500 0.500 0.000
Pb 0.250 0.000 0.696
Pb 0.750 0.000 0.304
Au 0.250 0.500 0.523
Au 0.750 0.500 0.477

Largest 10 diffraction maxima, in order of falling intensity, 10 to 90 degrees two-theta:
Position (°2θ)  d [Å]  I/Imax
26.1  3.413  100
38.1  2.360  63
46.2  1.965  49
24.0  3.703  43
37.4  2.403  43
35.8  2.510  40
27.4  3.255  37
39.8  2.267  30
66.9  1.399  25
54.4  1.687  22

=====

# 3
Theoretical X-ray diffraction stick pattern of CaAu2Cl6 for Cu Kα X-rays, from a structure optimized by DFT (PBE).

Atomic structure:
a = 8.854 Å, b = 8.854 Å, c = 7.363 Å
α = 106.36°, β = 106.36°, γ = 96.02°
Sites, in units of the cell vectors:
Ca 0.104 0.896 0.750
Ca 0.896 0.104 0.250
Au 0.274 0.449 0.857
Au 0.449 0.274 0.357
Au 0.551 0.726 0.643
Au 0.726 0.551 0.143
Cl 0.079 0.613 0.827
Cl 0.081 0.189 0.655
Cl 0.189 0.081 0.155
Cl 0.317 0.501 0.424
Cl 0.387 0.921 0.673
Cl 0.499 0.683 0.076
Cl 0.501 0.317 0.924
Cl 0.613 0.079 0.327
Cl 0.683 0.499 0.576
Cl 0.811 0.919 0.845
Cl 0.919 0.811 0.345
Cl 0.921 0.387 0.173

Largest 10 diffraction maxima, in order of falling intensity, 10 to 90 degrees two-theta:
Position (°2θ)  d [Å]  I/Imax
10.6  8.323  100
24.8  3.595  77
21.2  4.200  54
19.6  4.536  46
18.9  4.688  44
13.5  6.581  41
25.8  3.456  31
25.3  3.521  30
33.4  2.686  28
42.6  2.121  25

=====

# 4
Theoretical X-ray diffraction stick pattern of Pu3Tl3BiSe8 for Cu Kα X-rays, from a structure optimized by DFT (PBE).

Atomic structure:
a = 8.450 Å, b = 8.450 Å, c = 9.123 Å
α = 117.67°, β = 117.67°, γ = 59.96°
Sites, in units of the cell vectors:
Pu 0.000 0.000 0.000
Pu 0.000 0.500 0.000
Pu 0.500 0.000 0.000
Tl 0.000 0.500 0.500
Tl 0.500 0.000 0.500
Tl 0.500 0.500 0.500
Bi 0.500 0.500 0.000
Se 0.225 0.740 0.205
Se 0.234 0.234 0.203
Se 0.260 0.260 0.795
Se 0.260 0.775 0.795
Se 0.740 0.225 0.205
Se 0.740 0.740 0.205
Se 0.766 0.766 0.797
Se 0.775 0.260 0.795

Largest 10 diffraction maxima, in order of falling intensity, 10 to 90 degrees two-theta:
Position (°2θ)  d [Å]  I/Imax
28.9  3.091  100
39.8  2.267  38
42.8  2.112  36
25.5  3.488  23
52.5  1.744  19
70.0  1.345  16
11.5  7.701  15
65.6  1.423  14
23.1  3.850  12
59.9  1.545  11

=====

# 5
Theoretical X-ray diffraction stick pattern of Cd2Te for Cu Kα X-rays, from a structure optimized by DFT (PBE).

Atomic structure:
a = 4.402 Å, b = 4.402 Å, c = 6.067 Å
α = 90.00°, β = 90.00°, γ = 120.00°
Sites, in units of the cell vectors:
Cd 0.000 0.000 0.223
Cd 0.000 0.000 0.777
Te 0.333 0.667 0.500

Largest 10 diffraction maxima, in order of falling intensity, 10 to 90 degrees two-theta:
Position (°2θ)  d [Å]  I/Imax
37.9  2.374  100
23.3  3.812  79
27.6  3.228  56
41.0  2.201  56
57.1  1.614  29
72.6  1.302  28
14.6  6.067  15
62.4  1.489  14
76.2  1.249  13
47.7  1.906  11

=====

# 6
Theoretical X-ray diffraction stick pattern of K3YBr8 for Cu Kα X-rays, from a structure optimized by DFT (PBE).

Atomic structure:
a = 9.505 Å, b = 9.505 Å, c = 9.505 Å
α = 133.91°, β = 133.91°, γ = 67.22°
Sites, in units of the cell vectors:
K 0.000 0.000 0.000
K 0.250 0.750 0.500
K 0.750 0.250 0.500
Y 0.500 0.500 0.000
Br 0.160 0.160 0.545
Br 0.160 0.615 0.000
Br 0.385 0.385 0.545
Br 0.385 0.840 0.000
Br 0.615 0.160 0.000
Br 0.615 0.615 0.455
Br 0.840 0.385 0.000
Br 0.840 0.840 0.455

Largest 10 diffraction maxima, in order of falling intensity, 10 to 90 degrees two-theta:
Position (°2θ)  d [Å]  I/Imax
33.0  2.711  100
34.1  2.631  47
23.9  3.721  30
60.3  1.534  26
20.3  4.382  26
13.1  6.735  20
22.5  3.958  17
49.0  1.861  17
58.3  1.582  15
11.2  7.916  12

=====

# 7
Theoretical X-ray diffraction stick pattern of AcZn6Ru2 for Cu Kα X-rays, from a structure optimized by DFT (PBE).

Atomic structure:
a = 6.916 Å, b = 6.916 Å, c = 6.916 Å
α = 144.11°, β = 120.27°, γ = 71.69°
Sites, in units of the cell vectors:
Ac 0.000 0.000 0.000
Zn 0.093 0.282 0.810
Zn 0.330 0.500 0.830
Zn 0.472 0.282 0.190
Zn 0.528 0.718 0.810
Zn 0.670 0.500 0.170
Zn 0.907 0.718 0.190
Ru 0.383 0.883 0.500
Ru 0.617 0.117 0.500

Largest 10 diffraction maxima, in order of falling intensity, 10 to 90 degrees two-theta:
Position (°2θ)  d [Å]  I/Imax
34.4  2.605  100
40.7  2.217  83
42.4  2.131  49
27.1  3.285  43
30.5  2.935  36
57.4  1.604  27
74.0  1.282  25
31.9  2.804  20
53.1  1.724  19
22.3  3.984  18

=====

# 8
Theoretical X-ray diffraction stick pattern of Ce5AgTe8 for Cu Kα X-rays, from a structure optimized by DFT (PBE).

Atomic structure:
a = 8.228 Å, b = 8.228 Å, c = 8.228 Å
α = 110.27°, β = 110.27°, γ = 107.88°
Sites, in units of the cell vectors:
Ce 0.000 0.000 0.000
Ce 0.135 0.509 0.877
Ce 0.491 0.368 0.625
Ce 0.632 0.257 0.123
Ce 0.743 0.865 0.375
Ag 0.250 0.750 0.500
Te 0.016 0.256 0.401
Te 0.223 0.108 0.747
Te 0.360 0.475 0.253
Te 0.384 0.984 0.240
Te 0.525 0.777 0.885
Te 0.744 0.144 0.760
Te 0.856 0.616 0.599
Te 0.892 0.640 0.115

Largest 10 diffraction maxima, in order of falling intensity, 10 to 90 degrees two-theta:
Position (°2θ)  d [Å]  I/Imax
30.0  2.979  100
29.2  3.054  50
35.0  2.561  38
35.4  2.535  31
35.6  2.519  29
60.6  1.527  18
47.1  1.929  14
44.7  2.029  13
49.3  1.847  11
48.9  1.863  10